Diffraction record for Ba2SrY2Cu2PtO10. The X-ray powder pattern is simulated, not measured: it uses the GGA-PBE geometry in the Materials Project and Cu Ka.

Peak list (10 most intense, 10 to 90 degrees two-theta, most intense first)
2.784 Å, 32.15 deg, intensity 100, hkl 3 1 1; 2.893 Å, 30.91 deg, intensity 49, hkl 0 2 0; 3.291 Å, 27.10 deg, intensity 42, hkl 3 1 -1; 2.754 Å, 32.52 deg, intensity 29, hkl 3 1 -2; 7.201 Å, 12.29 deg, intensity 22, hkl 0 0 1; 3.600 Å, 24.73 deg, intensity 22, hkl 0 0 2; 2.255 Å, 39.98 deg, intensity 21, hkl 0 2 2; 1.648 Å, 55.77 deg, intensity 20, hkl 3 3 1; 5.219 Å, 16.99 deg, intensity 20, hkl 1 1 0; 3.137 Å, 28.46 deg, intensity 19, hkl 1 1 -2

Cell and atoms:
```
data_Ba2SrY2Cu2PtO10
_chemical_formula_sum 'Ba4 Sr2 Y4 Cu4 Pt2 O20'
_space_group_name_H-M_alt 'C 1 2/m 1'
_space_group_IT_number 12
_space_group_name_Hall '-C 2y'
_cell_length_a 12.548
_cell_length_b 5.785
_cell_length_c 7.470
_cell_angle_alpha 90.00
_cell_angle_beta 105.43
_cell_angle_gamma 90.00
loop_
_atom_site_label
_atom_site_fract_x
_atom_site_fract_y
_atom_site_fract_z
Ba1 0.150 0.000 0.028
Sr1 0.000 0.000 0.500
Y1 0.189 0.500 0.375
Cu1 0.085 0.500 0.695
Pt1 0.000 0.500 0.000
O1 0.019 0.274 0.220
O2 0.168 0.500 0.051
O3 0.175 0.263 0.618
```